No. 1
For Ce5AlOs4, a cell relaxed with PBE gives the calculated powder diffraction line list in this record (Cu Kα).
Intensities are scaled so that the largest is 100.

Largest 10 diffraction maxima, by intensity, 15° ≤ 2θ ≤ 90°:
h k l, 2θ (°), I/Imax
3 1 -2, 35.7, 100
3 1 2, 41.3, 79
6 0 0, 35.0, 52
0 2 0, 41.7, 39
1 1 1, 26.0, 37
5 1 -1, 36.0, 28
6 2 0, 55.6, 28
2 0 -1, 15.7, 23
9 1 -2, 59.3, 23
2 0 1, 19.5, 18

Atomic structure:
Cell lengths 15.7390, 4.3279, 6.7501 Å; angles 90.00, 102.43, 90.00 degrees
Space group C2/m (No. 12)
Unique sites:
Ce1 0.0000 0.0000 0.0000 [2 per cell]
Ce2 0.1580 0.5000 0.5039 [4 per cell]
Ce3 0.1681 0.5000 0.0496 [4 per cell]
Al1 0.0000 0.0000 0.5000 [2 per cell]
Os1 0.0186 0.5000 0.7284 [4 per cell]
Os2 0.1560 0.0000 0.7686 [4 per cell]


No. 2
For Ce3PaAl8, a cell relaxed with PBE gives the calculated powder diffraction line list in this record (Cu Kα).
Intensities are scaled so that the largest is 100.

Largest 10 diffraction maxima, by intensity, 15° ≤ 2θ ≤ 90°:
h k l, 2θ (°), I/Imax
0 1 3, 35.4, 100
1 1 0, 31.8, 75
0 1 1, 20.8, 61
1 0 0, 18.2, 45
1 2 3, 58.9, 44
1 1 2, 37.8, 41
2 0 1, 38.2, 40
3 1 3, 77.5, 23
2 0 3, 48.3, 20
2 2 0, 66.3, 16

Atomic structure:
Cell lengths 5.6363, 5.6363, 8.9070 Å; angles 90.00, 90.00, 120.00 degrees
Space group P3m1 (No. 156)
Unique sites:
Ce1 0.0000 0.0000 0.0000 [1 per cell]
Ce2 0.0000 0.0000 0.3400 [1 per cell]
Ce3 0.3333 0.6667 0.8285 [1 per cell]
Pa1 0.3333 0.6667 0.5058 [1 per cell]
Al1 0.0119 0.5060 0.1721 [3 per cell]
Al2 0.3217 0.1608 0.6671 [3 per cell]
Al3 0.6667 0.3333 0.4208 [1 per cell]
Al4 0.6667 0.3333 0.9196 [1 per cell]


No. 3
For Ce2Al11Pd3, a cell relaxed with PBE gives the calculated powder diffraction line list in this record (Cu Kα).
Intensities are scaled so that the largest is 100.

Largest 10 diffraction maxima, by intensity, 15° ≤ 2θ ≤ 90°:
h k l, 2θ (°), I/Imax
1 0 4, 29.9, 100
1 1 4, 36.7, 56
2 0 0, 42.3, 49
2 1 4, 52.7, 40
1 0 0, 20.8, 36
1 1 0, 29.6, 36
1 0 8, 48.6, 35
2 1 8, 66.4, 26
1 1 2, 31.5, 22
0 0 4, 21.3, 19

Atomic structure:
Cell lengths 4.2748, 4.2748, 16.6654 Å; angles 90.00, 90.00, 90.00 degrees
Space group P4mm (No. 99)
Unique sites:
Ce1 0.0000 0.0000 0.0000 [1 per cell]
Ce2 0.0000 0.0000 0.4901 [1 per cell]
Al1 0.0000 0.5000 0.1571 [2 per cell]
Al2 0.0000 0.5000 0.3263 [2 per cell]
Al3 0.0000 0.5000 0.6619 [2 per cell]
Al4 0.0000 0.5000 0.8340 [2 per cell]
Al5 0.5000 0.5000 0.0610 [1 per cell]
Al6 0.5000 0.5000 0.4196 [1 per cell]
Al7 0.5000 0.5000 0.5674 [1 per cell]
Pd1 0.0000 0.0000 0.2419 [1 per cell]
Pd2 0.0000 0.0000 0.7450 [1 per cell]
Pd3 0.5000 0.5000 0.9164 [1 per cell]


No. 4
For CeAl4Pd2, a cell relaxed with PBE gives the calculated powder diffraction line list in this record (Cu Kα).
Intensities are scaled so that the largest is 100.

Largest 10 diffraction maxima, by intensity, 15° ≤ 2θ ≤ 90°:
h k l, 2θ (°), I/Imax
2 1 2, 35.5, 100
5 1 1, 35.8, 62
4 1 0, 29.0, 54
0 2 0, 41.4, 45
7 0 1, 38.8, 36
2 0 2, 28.8, 35
7 2 1, 58.1, 22
6 1 0, 37.4, 21
2 1 0, 22.8, 21
5 0 1, 29.1, 20

Atomic structure:
Cell lengths 17.3187, 4.3605, 6.6413 Å; angles 90.00, 90.00, 90.00 degrees
Space group Pnma (No. 62)
Unique sites:
Ce1 0.1369 0.2500 0.0116 [4 per cell]
Al1 0.0361 0.7500 0.8220 [4 per cell]
Al2 0.0727 0.2500 0.4947 [4 per cell]
Al3 0.1855 0.7500 0.3241 [4 per cell]
Al4 0.1930 0.7500 0.7243 [4 per cell]
Pd1 0.0372 0.7500 0.2458 [4 per cell]
Pd2 0.2178 0.2500 0.5274 [4 per cell]


No. 5
For Ce3Al2Pd6, a cell relaxed with PBE gives the calculated powder diffraction line list in this record (Cu Kα).
Intensities are scaled so that the largest is 100.

Largest 10 diffraction maxima, by intensity, 15° ≤ 2θ ≤ 90°:
h k l, 2θ (°), I/Imax
3 3 0, 40.2, 100
3 2 1, 35.3, 33
6 3 3, 73.1, 23
5 3 2, 59.9, 17
3 1 0, 29.7, 16
2 2 0, 26.5, 15
6 0 0, 58.2, 14
6 2 2, 65.0, 13
4 0 0, 37.8, 10
2 2 2, 32.6, 10

Atomic structure:
Cell lengths 9.5154, 9.5154, 9.5154 Å; angles 90.00, 90.00, 90.00 degrees
Space group Im-3m (No. 229)
Unique sites:
Ce1 0.0000 0.0000 0.2824 [12 per cell]
Al1 0.2500 0.2500 0.2500 [8 per cell]
Pd1 0.0000 0.3349 0.3349 [24 per cell]


No. 6
For CeAl12Pd4, a cell relaxed with PBE gives the calculated powder diffraction line list in this record (Cu Kα).
Intensities are scaled so that the largest is 100.

Largest 10 diffraction maxima, by intensity, 15° ≤ 2θ ≤ 90°:
h k l, 2θ (°), I/Imax
2 2 0, 28.8, 100
4 2 2, 51.0, 66
3 0 1, 32.3, 39
2 0 0, 20.3, 35
3 1 2, 38.4, 31
4 0 2, 46.3, 30
6 2 0, 67.6, 23
4 0 0, 41.2, 21
6 4 2, 82.3, 19
4 3 1, 53.3, 17

Atomic structure:
Cell lengths 8.7692, 8.7692, 8.7692 Å; angles 90.00, 90.00, 90.00 degrees
Space group Im-3 (No. 204)
Unique sites:
Ce1 0.0000 0.0000 0.0000 [2 per cell]
Al1 0.0000 0.3429 0.1575 [24 per cell]
Pd1 0.2500 0.2500 0.2500 [8 per cell]


No. 7
For CeAl6Pd3, a cell relaxed with PBE gives the calculated powder diffraction line list in this record (Cu Kα).
Intensities are scaled so that the largest is 100.

Largest 10 diffraction maxima, by intensity, 15° ≤ 2θ ≤ 90°:
h k l, 2θ (°), I/Imax
1 1 2, 30.2, 100
1 1 -4, 44.0, 70
0 2 0, 41.7, 68
2 0 -2, 26.8, 60
1 0 3, 30.7, 57
3 1 -1, 38.0, 50
3 1 0, 37.4, 49
3 0 1, 33.0, 45
1 1 1, 25.1, 42
0 1 1, 22.6, 36

Atomic structure:
Cell lengths 8.7132, 4.3271, 9.5504 Å; angles 90.00, 94.12, 90.00 degrees
Space group P2_1/m (No. 11)
Unique sites:
Ce1 0.0527 0.2500 0.2987 [2 per cell]
Al1 0.1133 0.7500 0.0362 [2 per cell]
Al2 0.1905 0.2500 0.6278 [2 per cell]
Al3 0.3039 0.7500 0.2670 [2 per cell]
Al4 0.3103 0.7500 0.7942 [2 per cell]
Al5 0.4241 0.2500 0.4294 [2 per cell]
Al6 0.4702 0.2500 0.9091 [2 per cell]
Pd1 0.1738 0.2500 0.8981 [2 per cell]
Pd2 0.2787 0.7500 0.5220 [2 per cell]
Pd3 0.3893 0.2500 0.1552 [2 per cell]


No. 8
For Ce2Al9Pd3, a cell relaxed with PBE gives the calculated powder diffraction line list in this record (Cu Kα).
Intensities are scaled so that the largest is 100.

Largest 10 diffraction maxima, by intensity, 15° ≤ 2θ ≤ 90°:
h k l, 2θ (°), I/Imax
3 1 1, 29.6, 100
0 2 3, 36.3, 62
3 3 -1, 40.5, 58
0 2 1, 24.8, 42
6 0 -6, 56.2, 32
6 0 -2, 40.4, 29
0 0 4, 37.2, 29
3 1 5, 62.5, 21
0 4 2, 51.0, 20
0 2 0, 23.0, 14

Atomic structure:
Cell lengths 13.3935, 7.7083, 10.6324 Å; angles 90.00, 114.72, 90.00 degrees
Space group C2/c (No. 15)
Unique sites:
Ce1 0.1683 0.0837 0.2503 [8 per cell]
Al1 0.0000 0.3756 0.2500 [4 per cell]
Al2 0.0594 0.0858 0.9270 [8 per cell]
Al3 0.1019 0.4162 0.0566 [8 per cell]
Al4 0.1027 0.3163 0.7479 [8 per cell]
Al5 0.2244 0.4181 0.4280 [8 per cell]
Pd1 0.0843 0.2451 0.4998 [8 per cell]
Pd2 0.2500 0.2500 0.0000 [4 per cell]